[1]
# RbCuBr3
Theoretical XRD peak list, Cu Kα (λ = 1.5418 Å). Input: a DFT-relaxed cell (GGA-PBE, the Materials Project).
No peak broadening, texture or thermal motion is included.

Structural model:
```
data_RbCuBr3
_cell_length_a 5.1866
_cell_length_b 5.1866
_cell_length_c 5.1866
_cell_angle_alpha 90.00
_cell_angle_beta 90.00
_cell_angle_gamma 90.00
_space_group_name_H-M_alt 'P m -3 m'
_space_group_IT_number 221
_space_group_name_Hall '-P 4 2 3'
loop_
_atom_site_label
_atom_site_type_symbol
_atom_site_fract_x
_atom_site_fract_y
_atom_site_fract_z
Rb1 Rb 0.0000 0.0000 0.0000
Cu1 Cu 0.5000 0.5000 0.5000
Br1 Br 0.0000 0.5000 0.5000
```

Top 6 peaks for 2θ from 10° to 90°, in order of rising 2θ:
Position (°2θ)	I (rel.)
29.84	85
34.59	100
49.72	69
59.07	36
61.98	23
83.32	31


[2]
# Rb2CuSbBr6
Theoretical XRD peak list, Cu Kα (λ = 1.5418 Å). Input: a DFT-relaxed cell (GGA-PBE, the Materials Project).
No peak broadening, texture or thermal motion is included.

Structural model:
```
data_Rb2CuSbBr6
_cell_length_a 10.9750
_cell_length_b 10.9750
_cell_length_c 10.9750
_cell_angle_alpha 90.00
_cell_angle_beta 90.00
_cell_angle_gamma 90.00
_space_group_name_H-M_alt 'F m -3 m'
_space_group_IT_number 225
_space_group_name_Hall '-F 4 2 3'
loop_
_atom_site_label
_atom_site_type_symbol
_atom_site_fract_x
_atom_site_fract_y
_atom_site_fract_z
Rb1 Rb 0.2500 0.2500 0.2500
Cu1 Cu 0.0000 0.0000 0.0000
Sb1 Sb 0.0000 0.0000 0.5000
Br1 Br 0.0000 0.0000 0.2418
```

Top 6 peaks for 2θ from 10° to 90°, in order of rising 2θ:
Position (°2θ)	I (rel.)
16.15	26
22.92	27
28.17	61
32.64	100
46.83	70
77.85	30


[3]
# Rb2TaCuBr6
Theoretical XRD peak list, Cu Kα (λ = 1.5418 Å). Input: a DFT-relaxed cell (GGA-PBE, the Materials Project).
No peak broadening, texture or thermal motion is included.

Structural model:
```
data_Rb2TaCuBr6
_cell_length_a 10.6890
_cell_length_b 10.6890
_cell_length_c 10.6890
_cell_angle_alpha 90.00
_cell_angle_beta 90.00
_cell_angle_gamma 90.00
_space_group_name_H-M_alt 'F m -3 m'
_space_group_IT_number 225
_space_group_name_Hall '-F 4 2 3'
loop_
_atom_site_label
_atom_site_type_symbol
_atom_site_fract_x
_atom_site_fract_y
_atom_site_fract_z
Rb1 Rb 0.2500 0.2500 0.2500
Ta1 Ta 0.0000 0.0000 0.0000
Cu1 Cu 0.0000 0.0000 0.5000
Br1 Br 0.0000 0.0000 0.2476
```

Top 6 peaks for 2θ from 10° to 90°, in order of rising 2θ:
Position (°2θ)	I (rel.)
16.59	38
23.54	39
28.94	42
33.54	100
48.16	71
80.34	31


[4]
# Rb2YCuBr6
Theoretical XRD peak list, Cu Kα (λ = 1.5418 Å). Input: a DFT-relaxed cell (GGA-PBE, the Materials Project).
No peak broadening, texture or thermal motion is included.

Structural model:
```
data_Rb2YCuBr6
_cell_length_a 11.0015
_cell_length_b 11.0015
_cell_length_c 11.0015
_cell_angle_alpha 90.00
_cell_angle_beta 90.00
_cell_angle_gamma 90.00
_space_group_name_H-M_alt 'F m -3 m'
_space_group_IT_number 225
_space_group_name_Hall '-F 4 2 3'
loop_
_atom_site_label
_atom_site_type_symbol
_atom_site_fract_x
_atom_site_fract_y
_atom_site_fract_z
Rb1 Rb 0.2500 0.2500 0.2500
Y1 Y 0.0000 0.0000 0.0000
Cu1 Cu 0.0000 0.0000 0.5000
Br1 Br 0.0000 0.0000 0.2548
```

Top 6 peaks for 2θ from 10° to 90°, in order of rising 2θ:
Position (°2θ)	I (rel.)
28.10	74
32.56	100
46.71	71
55.40	32
58.09	24
77.62	31